No. 1
Theoretical powder diffraction line list of AcCe2Zn2Ge2 for Cu Ka, from DFT lattice parameters and positions (PBE).

Most intense lines, 15° ≤ 2θ ≤ 90°, sorted by position:
- 23.72°, I 32
- 28.04°, I 21
- 31.83°, I 100
- 34.00°, I 43
- 41.35°, I 71
- 49.62°, I 12
- 53.10°, I 24
- 54.56°, I 11
- 56.42°, I 17
- 63.77°, I 17
- 69.44°, I 21
- 75.39°, I 15

Structural model:
```
AcCe2Zn2Ge2
1.0
2.1837 1.2608 9.8095
-2.1837 1.2608 9.8095
0.0000 -2.5215 9.8095
Ac Ce Zn Ge
1 2 2 2
direct
0.0000 0.0000 0.0000 Ac
0.1436 0.1436 0.1436 Ce
0.8564 0.8564 0.8564 Ce
0.4134 0.4134 0.4134 Zn
0.5866 0.5866 0.5866 Zn
0.2580 0.2580 0.2580 Ge
0.7420 0.7420 0.7420 Ge
```

No. 2
Theoretical powder diffraction line list of Ba6Hg5Br for Cu Ka, from DFT lattice parameters and positions (PBE).

Most intense lines, 15° ≤ 2θ ≤ 90°, sorted by position:
- 29.94°, I 50
- 30.02°, I 100
- 42.86°, I 19
- 43.08°, I 9
- 53.21°, I 40
- 53.35°, I 20
- 62.37°, I 16
- 70.62°, I 13
- 70.94°, I 9
- 86.18°, I 5
- 86.39°, I 16
- 86.59°, I 10

Structural model:
```
Ba6Hg5Br
1.0
-2.9809 4.1991 8.9614
2.9809 -4.1991 8.9614
2.9809 4.1991 -8.9614
Ba Hg Br
6 5 1
direct
0.0814 0.3322 0.7492 Ba
0.2475 0.0000 0.2475 Ba
0.4169 0.6678 0.7492 Ba
0.5831 0.3322 0.2508 Ba
0.7525 0.0000 0.7525 Ba
0.9186 0.6678 0.2508 Ba
0.0000 0.5000 0.5000 Hg
0.1658 0.1658 0.0000 Hg
0.3255 0.8255 0.5000 Hg
0.6745 0.1745 0.5000 Hg
0.8342 0.8342 0.0000 Hg
0.5000 0.5000 0.0000 Br
```

No. 3
Theoretical powder diffraction line list of NaBe2BiF8 for Cu Ka, from DFT lattice parameters and positions (PBE).

Most intense lines, 15° ≤ 2θ ≤ 90°, sorted by position:
- 21.08°, I 100
- 22.24°, I 71
- 26.39°, I 93
- 29.14°, I 53
- 35.53°, I 31
- 36.22°, I 43
- 39.06°, I 30
- 42.28°, I 23
- 42.91°, I 23
- 44.17°, I 75
- 52.74°, I 22
- 63.34°, I 25

Structural model:
```
NaBe2BiF8
1.0
2.4800 1.4318 7.2895
-2.4800 1.4318 7.2895
0.0000 -2.8636 7.2895
Na Be Bi F
1 2 1 8
direct
0.0000 0.0000 0.0000 Na
0.2595 0.2595 0.2595 Be
0.7405 0.7405 0.7405 Be
0.5000 0.5000 0.5000 Bi
0.0542 0.4638 0.7898 F
0.2102 0.5362 0.9458 F
0.3271 0.3271 0.3271 F
0.4638 0.7898 0.0542 F
0.5362 0.9458 0.2102 F
0.6729 0.6729 0.6729 F
0.7898 0.0542 0.4638 F
0.9458 0.2102 0.5362 F
```